The following is a calculated X-ray powder pattern of SrEuHf4O12. It was derived from the PBE geometry in the Materials Project, using CuKα.
Neutral-atom scattering factors, no anomalous dispersion.

The 8 most intense peaks (2θ from 10° to 90°), low angle first:
2θ (°)  I_rel
18.92  27
21.80  44
22.04  20
31.02  49
31.19  100
44.44  29
55.29  43
55.62  22

Cell and atoms:
Unit cell a=8.147 b=5.738 c=5.738 alpha=89.30 beta=90.00 gamma=90.00
Fractional positions:
Sr: 0.000 0.000 0.000
Eu: 0.500 0.475 0.475
Hf: 0.249 0.491 0.978
Hf: 0.249 0.978 0.491
Hf: 0.751 0.491 0.978
Hf: 0.751 0.978 0.491
O: 0.000 0.009 0.437
O: 0.000 0.437 0.009
O: 0.208 0.782 0.782
O: 0.271 0.280 0.687
O: 0.271 0.687 0.280
O: 0.288 0.209 0.209
O: 0.500 0.521 0.932
O: 0.500 0.932 0.521
O: 0.712 0.209 0.209
O: 0.729 0.280 0.687
O: 0.729 0.687 0.280
O: 0.792 0.782 0.782

=====

The following is a calculated X-ray powder pattern of Eu2HfTiO6. It was derived from the PBE geometry in the Materials Project, using CuKα.
Neutral-atom scattering factors, no anomalous dispersion.

The 8 most intense peaks (2θ from 10° to 90°), low angle first:
2θ (°)  I_rel
19.02  14
31.30  100
36.88  9
44.86  29
55.72  40
65.31  18
74.21  17
82.73  6

Cell and atoms:
Unit cell a=5.715 b=5.715 c=5.715 alpha=60.00 beta=60.00 gamma=60.00
Fractional positions:
Eu: 0.250 0.250 0.250
Eu: 0.750 0.750 0.750
Hf: 0.000 0.000 0.000
Ti: 0.500 0.500 0.500
O: 0.255 0.255 0.745
O: 0.255 0.745 0.255
O: 0.255 0.745 0.745
O: 0.745 0.255 0.255
O: 0.745 0.255 0.745
O: 0.745 0.745 0.255

=====

The following is a calculated X-ray powder pattern of Eu2HfZrO6. It was derived from the PBE geometry in the Materials Project, using CuKα.
Neutral-atom scattering factors, no anomalous dispersion.

The 8 most intense peaks (2θ from 10° to 90°), low angle first:
2θ (°)  I_rel
18.46  5
30.38  100
43.49  29
53.97  41
63.20  18
71.72  18
79.84  6
87.76  22

Cell and atoms:
Unit cell a=5.885 b=5.885 c=5.885 alpha=60.00 beta=60.00 gamma=60.00
Fractional positions:
Eu: 0.250 0.250 0.250
Eu: 0.750 0.750 0.750
Hf: 0.000 0.000 0.000
Zr: 0.500 0.500 0.500
O: 0.248 0.248 0.752
O: 0.248 0.752 0.248
O: 0.248 0.752 0.752
O: 0.752 0.248 0.248
O: 0.752 0.248 0.752
O: 0.752 0.752 0.248

=====

The following is a calculated X-ray powder pattern of EuHg2. It was derived from the PBE geometry in the Materials Project, using CuKα.
Neutral-atom scattering factors, no anomalous dispersion.

The 8 most intense peaks (2θ from 10° to 90°), low angle first:
2θ (°)  I_rel
31.36  100
35.07  92
42.87  22
47.75  31
60.60  31
61.57  37
62.91  17
83.50  16

Cell and atoms:
Unit cell a=5.118 b=5.118 c=3.727 alpha=90.00 beta=90.00 gamma=120.00
Fractional positions:
Eu: 0.000 0.000 0.000
Hg: 0.333 0.667 0.500
Hg: 0.667 0.333 0.500

=====

The following is a calculated X-ray powder pattern of EuInHg2. It was derived from the PBE geometry in the Materials Project, using CuKα.
Neutral-atom scattering factors, no anomalous dispersion.

The 8 most intense peaks (2θ from 10° to 90°), low angle first:
2θ (°)  I_rel
23.68  4
33.74  100
41.64  1
48.46  18
54.62  2
60.35  38
70.95  12
80.91  17

Cell and atoms:
Unit cell a=5.313 b=5.313 c=5.313 alpha=60.00 beta=60.00 gamma=60.00
Fractional positions:
Eu: 0.000 0.000 0.000
In: 0.500 0.500 0.500
Hg: 0.250 0.250 0.250
Hg: 0.750 0.750 0.750

=====

The following is a calculated X-ray powder pattern of EuMgHg2. It was derived from the PBE geometry in the Materials Project, using CuKα.
Neutral-atom scattering factors, no anomalous dispersion.

The 8 most intense peaks (2θ from 10° to 90°), low angle first:
2θ (°)  I_rel
20.76  11
24.02  18
34.23  100
49.19  18
55.46  8
61.29  38
72.11  12
82.30  17

Cell and atoms:
Unit cell a=5.239 b=5.239 c=5.239 alpha=60.00 beta=60.00 gamma=60.00
Fractional positions:
Eu: 0.000 0.000 0.000
Mg: 0.500 0.500 0.500
Hg: 0.250 0.250 0.250
Hg: 0.750 0.750 0.750

=====

The following is a calculated X-ray powder pattern of EuHgO3. It was derived from the PBE geometry in the Materials Project, using CuKα.
Neutral-atom scattering factors, no anomalous dispersion.

The 8 most intense peaks (2θ from 10° to 90°), low angle first:
2θ (°)  I_rel
20.95  4
29.80  100
42.64  27
52.89  42
61.89  17
70.19  18
78.07  6
85.73  23

Cell and atoms:
Unit cell a=4.240 b=4.240 c=4.240 alpha=90.00 beta=90.00 gamma=90.00
Fractional positions:
Eu: 0.000 0.000 0.000
Hg: 0.500 0.500 0.500
O: 0.000 0.500 0.500
O: 0.500 0.000 0.500
O: 0.500 0.500 0.000

=====

The following is a calculated X-ray powder pattern of Eu2HgO4. It was derived from the PBE geometry in the Materials Project, using CuKα.
Neutral-atom scattering factors, no anomalous dispersion.

The 8 most intense peaks (2θ from 10° to 90°), low angle first:
2θ (°)  I_rel
28.28  55
29.56  44
30.15  60
30.66  51
31.70  100
34.72  62
37.92  45
50.71  47

Cell and atoms:
Unit cell a=7.225 b=7.225 c=10.289 alpha=120.55 beta=120.55 gamma=30.30
Fractional positions:
Eu: 0.121 0.121 0.457
Eu: 0.337 0.337 0.202
Eu: 0.663 0.663 0.798
Eu: 0.879 0.879 0.543
Hg: 0.385 0.385 0.838
Hg: 0.615 0.615 0.162
O: 0.082 0.082 0.649
O: 0.268 0.268 0.387
O: 0.293 0.293 0.939
O: 0.465 0.465 0.719
O: 0.535 0.535 0.281
O: 0.707 0.707 0.061
O: 0.732 0.732 0.613
O: 0.918 0.918 0.351

=====

The following is a calculated X-ray powder pattern of EuHg2Pb. It was derived from the PBE geometry in the Materials Project, using CuKα.
Neutral-atom scattering factors, no anomalous dispersion.

The 8 most intense peaks (2θ from 10° to 90°), low angle first:
2θ (°)  I_rel
20.13  1
33.16  100
39.10  1
47.61  18
59.25  39
69.61  12
79.30  17
88.70  5

Cell and atoms:
Unit cell a=5.403 b=5.403 c=5.403 alpha=60.00 beta=60.00 gamma=60.00
Fractional positions:
Eu: 0.000 0.000 0.000
Hg: 0.250 0.250 0.250
Hg: 0.750 0.750 0.750
Pb: 0.500 0.500 0.500

=====

The following is a calculated X-ray powder pattern of PmEuHg2. It was derived from the PBE geometry in the Materials Project, using CuKα.
Neutral-atom scattering factors, no anomalous dispersion.

The 8 most intense peaks (2θ from 10° to 90°), low angle first:
2θ (°)  I_rel
22.87  2
32.56  100
46.71  19
52.62  1
58.10  39
68.20  12
77.63  17
86.73  4

Cell and atoms:
Unit cell a=5.500 b=5.500 c=5.500 alpha=60.00 beta=60.00 gamma=60.00
Fractional positions:
Pm: 0.000 0.000 0.000
Eu: 0.500 0.500 0.500
Hg: 0.250 0.250 0.250
Hg: 0.750 0.750 0.750

=====

The following is a calculated X-ray powder pattern of PrEuHg2. It was derived from the PBE geometry in the Materials Project, using CuKα.
Neutral-atom scattering factors, no anomalous dispersion.

The 8 most intense peaks (2θ from 10° to 90°), low angle first:
2θ (°)  I_rel
22.82  3
32.49  100
46.62  19
52.51  1
57.97  39
68.05  12
77.45  17
86.52  4

Cell and atoms:
Unit cell a=5.511 b=5.511 c=5.511 alpha=60.00 beta=60.00 gamma=60.00
Fractional positions:
Pr: 0.000 0.000 0.000
Eu: 0.500 0.500 0.500
Hg: 0.250 0.250 0.250
Hg: 0.750 0.750 0.750

=====

The following is a calculated X-ray powder pattern of Eu2HgSb. It was derived from the PBE geometry in the Materials Project, using CuKα.
Neutral-atom scattering factors, no anomalous dispersion.

The 8 most intense peaks (2θ from 10° to 90°), low angle first:
2θ (°)  I_rel
19.57  3
32.23  100
37.99  2
46.23  18
57.47  39
67.44  12
76.73  17
85.68  4

Cell and atoms:
Unit cell a=5.555 b=5.555 c=5.555 alpha=60.00 beta=60.00 gamma=60.00
Fractional positions:
Eu: 0.250 0.250 0.250
Eu: 0.750 0.750 0.750
Hg: 0.000 0.000 0.000
Sb: 0.500 0.500 0.500

=====

The following is a calculated X-ray powder pattern of SmEuHg2. It was derived from the PBE geometry in the Materials Project, using CuKα.
Neutral-atom scattering factors, no anomalous dispersion.

The 8 most intense peaks (2θ from 10° to 90°), low angle first:
2θ (°)  I_rel
23.12  2
32.92  100
47.25  18
53.24  1
58.79  39
69.05  12
78.64  17
87.92  4

Cell and atoms:
Unit cell a=5.441 b=5.441 c=5.441 alpha=60.00 beta=60.00 gamma=60.00
Fractional positions:
Sm: 0.000 0.000 0.000
Eu: 0.500 0.500 0.500
Hg: 0.250 0.250 0.250
Hg: 0.750 0.750 0.750

=====

The following is a calculated X-ray powder pattern of Eu2SnHg. It was derived from the PBE geometry in the Materials Project, using CuKα.
Neutral-atom scattering factors, no anomalous dispersion.

The 8 most intense peaks (2θ from 10° to 90°), low angle first:
2θ (°)  I_rel
19.44  3
32.01  100
37.73  2
45.90  19
57.06  39
66.94  12
76.13  17
84.97  4

Cell and atoms:
Unit cell a=5.592 b=5.592 c=5.592 alpha=60.00 beta=60.00 gamma=60.00
Fractional positions:
Eu: 0.250 0.250 0.250
Eu: 0.750 0.750 0.750
Sn: 0.000 0.000 0.000
Hg: 0.500 0.500 0.500

=====

The following is a calculated X-ray powder pattern of SrEuHg2. It was derived from the PBE geometry in the Materials Project, using CuKα.
Neutral-atom scattering factors, no anomalous dispersion.

The 8 most intense peaks (2θ from 10° to 90°), low angle first:
2θ (°)  I_rel
22.34  7
31.80  100
45.60  19
51.34  3
56.66  39
66.46  12
75.57  17
84.31  4

Cell and atoms:
Unit cell a=5.627 b=5.627 c=5.627 alpha=60.00 beta=60.00 gamma=60.00
Fractional positions:
Sr: 0.000 0.000 0.000
Eu: 0.500 0.500 0.500
Hg: 0.250 0.250 0.250
Hg: 0.750 0.750 0.750

=====

The following is a calculated X-ray powder pattern of Eu2TlHg. It was derived from the PBE geometry in the Materials Project, using CuKα.
Neutral-atom scattering factors, no anomalous dispersion.

The 8 most intense peaks (2θ from 10° to 90°), low angle first:
2θ (°)  I_rel
22.50  2
32.03  100
45.94  19
51.73  1
57.10  39
66.99  12
76.19  17
85.04  4

Cell and atoms:
Unit cell a=5.588 b=5.588 c=5.588 alpha=60.00 beta=60.00 gamma=60.00
Fractional positions:
Eu: 0.250 0.250 0.250
Eu: 0.750 0.750 0.750
Tl: 0.000 0.000 0.000
Hg: 0.500 0.500 0.500